Theoretical powder diffractogram
Compound: Ce3Os
Radiation: copper Kα
Structure: DFT lattice parameters and positions (GGA-PBE)
Kinematic intensities with the Lorentz-polarization factor, no thermal factor.

a = 7.0736 Å, b = 9.6894 Å, c = 6.1738 Å
α = 90.00°, β = 90.00°, γ = 90.00°
Space group Pnma (No. 62)
Asymmetric unit:
Ce  0.0370  0.2500  0.1457 x4
Ce  0.1687  0.0593  0.6541 x8
Os  0.1271  0.7500  0.4252 x4

Largest 8 diffraction maxima, low angle first, 2θ from 10° to 90°:
2θ (°), I (rel.), h k l
31.28, 76, 0 3 1
32.98, 100, 1 1 2
33.79, 81, 1 3 1
34.60, 85, 2 2 1
36.79, 55, 1 2 2
37.72, 50, 2 3 0
40.97, 41, 3 0 1
57.66, 33, 1 5 2

Theoretical powder diffractogram
Compound: V6CoRh
Radiation: copper Kα
Structure: DFT lattice parameters and positions (GGA-PBE)
Kinematic intensities with the Lorentz-polarization factor, no thermal factor.

a = 4.7223 Å, b = 4.7223 Å, c = 4.7223 Å
α = 90.00°, β = 90.00°, γ = 90.00°
Space group Pm-3 (No. 200)
Asymmetric unit:
V  0.0000  0.2459  0.5000 x6
Co  0.0000  0.0000  0.0000 x1
Rh  0.5000  0.5000  0.5000 x1

Largest 8 diffraction maxima, low angle first, 2θ from 10° to 90°:
2θ (°), I (rel.), h k l
18.79, 7, 1 0 0
26.70, 15, 1 1 0
38.11, 48, 2 0 0
42.82, 77, 2 0 1
47.14, 100, 2 1 1
72.12, 15, 3 2 0
75.30, 45, 3 1 2
81.54, 13, 4 0 0

Theoretical powder diffractogram
Compound: Cr3FeAs4
Radiation: copper Kα
Structure: DFT lattice parameters and positions (GGA-PBE)
Kinematic intensities with the Lorentz-polarization factor, no thermal factor.

a = 5.6095 Å, b = 3.3915 Å, c = 6.1730 Å
α = 90.00°, β = 90.18°, γ = 90.00°
Space group Pm (No. 6)
Asymmetric unit:
Cr  0.0000  0.0000  0.0000 x1
Cr  0.0073  0.5000  0.3967 x1
Cr  0.5084  0.5000  0.5011 x1
Fe  0.5020  0.0000  0.8962 x1
As  0.2101  0.5000  0.7782 x1
As  0.3045  0.0000  0.2735 x1
As  0.7023  0.5000  0.1219 x1
As  0.8034  0.0000  0.6253 x1

Largest 8 diffraction maxima, low angle first, 2θ from 10° to 90°:
2θ (°), I (rel.), h k l
33.13, 48, 1 0 -2
34.14, 100, 1 1 1
42.77, 34, 1 1 -2
43.53, 19, 2 0 -2
44.41, 72, 2 1 1
51.03, 19, 3 0 -1
51.98, 39, 0 1 3
54.08, 26, 0 2 0

Theoretical powder diffractogram
Compound: HfMg14Al
Radiation: copper Kα
Structure: DFT lattice parameters and positions (GGA-PBE)
Kinematic intensities with the Lorentz-polarization factor, no thermal factor.

a = 10.2415 Å, b = 6.2246 Å, c = 11.1202 Å
α = 90.00°, β = 90.00°, γ = 90.00°
Space group Amm2 (No. 38)
Asymmetric unit:
Hf  0.0000  0.0000  0.0000 x2
Mg  0.0000  0.2473  0.2478 x4
Mg  0.2445  0.0000  0.6611 x4
Mg  0.2460  0.2487  0.9132 x8
Mg  0.2494  0.0000  0.1607 x4
Mg  0.5000  0.0000  0.4969 x2
Mg  0.5000  0.0000  0.9965 x2
Mg  0.5000  0.2486  0.7466 x4
Al  0.0000  0.0000  0.4945 x2

Largest 8 diffraction maxima, low angle first, 2θ from 10° to 90°:
2θ (°), I (rel.), h k l
16.32, 35, 0 1 1
18.15, 29, 1 0 2
18.49, 52, 1 1 1
23.88, 29, 2 1 1
32.98, 30, 0 2 2
35.05, 40, 4 0 0
36.79, 56, 2 0 4
37.49, 100, 2 2 2

Theoretical powder diffractogram
Compound: Rb5Dy3Br12
Radiation: copper Kα
Structure: DFT lattice parameters and positions (GGA-PBE)
Kinematic intensities with the Lorentz-polarization factor, no thermal factor.

a = 14.3893 Å, b = 14.3893 Å, c = 4.2926 Å
α = 90.00°, β = 90.00°, γ = 120.00°
Space group P-62m (No. 189)
Asymmetric unit:
Rb  0.0000  0.7169  0.0000 x3
Rb  0.3333  0.6667  0.0000 x2
Dy  0.0000  0.3240  0.5000 x3
Br  0.0000  0.1868  0.0000 x3
Br  0.0000  0.4587  0.0000 x3
Br  0.2112  0.7719  0.5000 x6

Largest 8 diffraction maxima, low angle first, 2θ from 10° to 90°:
2θ (°), I (rel.), h k l
12.30, 100, 1 1 0
21.39, 33, 3 0 0
24.14, 47, 1 1 1
25.78, 34, 3 1 0
28.13, 98, 2 1 1
32.47, 72, 2 2 1
39.22, 66, 4 1 1
43.21, 37, 3 3 1

Theoretical powder diffractogram
Compound: Ba2TmMgRuO6
Radiation: copper Kα
Structure: DFT lattice parameters and positions (GGA-PBE)
Kinematic intensities with the Lorentz-polarization factor, no thermal factor.

a = 10.2674 Å, b = 5.9350 Å, c = 6.5190 Å
α = 90.00°, β = 121.45°, γ = 90.00°
Space group Cm (No. 8)
Asymmetric unit:
Ba  0.0000  0.0000  0.0000 x2
Ba  0.0418  0.5000  0.6253 x2
Tm  0.2499  0.5000  0.2493 x2
Mg  0.3692  0.0000  0.1131 x2
Ru  0.2219  0.0000  0.6655 x2
O  0.2313  0.2348  0.4541 x4
O  0.2354  0.2467  0.9552 x4
O  0.4831  0.0000  0.9581 x2
O  0.4944  0.5000  0.4515 x2

Largest 8 diffraction maxima, low angle first, 2θ from 10° to 90°:
2θ (°), I (rel.), h k l
27.55, 68, 1 1 1
30.13, 100, 0 2 0
31.98, 31, 1 1 -2
41.28, 39, 4 0 0
44.63, 17, 4 0 -3
51.90, 17, 4 2 0
53.52, 20, 3 3 -1
62.65, 18, 0 4 0

Theoretical powder diffractogram
Compound: Mn5Ge2
Radiation: copper Kα
Structure: DFT lattice parameters and positions (GGA-PBE)
Kinematic intensities with the Lorentz-polarization factor, no thermal factor.

a = 6.9568 Å, b = 6.9568 Å, c = 12.5884 Å
α = 90.00°, β = 90.00°, γ = 120.00°
Space group P6_3cm (No. 185)
Asymmetric unit:
Mn  0.0000  0.0000  0.0000 x2
Mn  0.0000  0.2981  0.3272 x6
Mn  0.0000  0.3030  0.1206 x6
Mn  0.0000  0.3580  0.5246 x6
Mn  0.0000  0.3665  0.7309 x6
Mn  0.3333  0.6667  0.3490 x4
Ge  0.0000  0.0000  0.2130 x2
Ge  0.0000  0.3320  0.9264 x6
Ge  0.3333  0.6667  0.1394 x4

Largest 8 diffraction maxima, low angle first, 2θ from 10° to 90°:
2θ (°), I (rel.), h k l
32.09, 10, 1 0 4
41.50, 21, 2 0 4
44.42, 80, 1 1 5
45.15, 100, 3 0 0
49.40, 14, 2 1 4
65.20, 20, 2 2 5
82.83, 16, 4 1 5
83.35, 12, 3 3 0